Starting from a GGA+U-relaxed structure, the powder XRD pattern of CaV2O4 was calculated for Cu Kα X-rays.
Lines closer than 0.1° are merged.

Peak list (10 most intense, 2θ from 10° to 90°, low angle first)
| Position (°2θ) | I_rel |
| --- | --- |
| 15.89 | 62.5 |
| 30.94 | 56.3 |
| 32.09 | 100.0 |
| 33.31 | 38.3 |
| 34.50 | 37.5 |
| 34.61 | 37.4 |
| 40.18 | 36.0 |
| 40.71 | 91.6 |
| 48.44 | 51.9 |
| 58.15 | 61.0 |

Crystal structure
```
14
Lattice="6.847 -1.586 0.000 6.847 1.586 0.000 -5.429 0.000 7.628" Properties=species:S:1:pos:R:3 pbc="T T T"
Ca 1.158 0.000 1.331
Ca 7.108 0.000 6.297
V -2.586 0.000 6.291
V 2.119 0.000 4.074
V 6.146 0.000 3.554
V 10.851 0.000 1.336
O -1.074 0.000 2.253
O 0.200 0.000 4.690
O -0.848 0.000 7.591
O 3.332 0.000 2.428
O 4.934 0.000 5.200
O 9.113 0.000 0.036
O 8.066 0.000 2.938
O 9.339 0.000 5.375
```